[1]
Diffraction record for Pr5NdSmTm2. The PXRD pattern is computed, not measured: it uses a structure optimized by DFT (PBE) and Cu Kα X-rays.
Lines closer than 0.1° are merged.

Structural model:
```
data_Pr5NdSmTm2
_chemical_formula_sum 'Pr10 Nd2 Sm2 Tm4'
_cell_length_a 10.712
_cell_length_b 10.712
_cell_length_c 10.708
_cell_angle_alpha 90.00
_cell_angle_beta 90.00
_cell_angle_gamma 148.94
_symmetry_space_group_name_H-M 'P 1'
_symmetry_Int_Tables_number 1
loop_
_symmetry_equiv_pos_as_xyz
'x,y,z'
loop_
_atom_site_label
_atom_site_fract_x
_atom_site_fract_y
_atom_site_fract_z
Pr1 0.016 0.984 0.500
Pr2 0.280 0.720 0.790
Pr3 0.296 0.704 0.183
Pr4 0.389 0.611 0.504
Pr5 0.478 0.522 0.220
Pr6 0.522 0.478 0.720
Pr7 0.611 0.389 0.004
Pr8 0.704 0.296 0.683
Pr9 0.720 0.280 0.290
Pr10 0.984 0.016 0.000
Nd1 0.412 0.588 0.929
Nd2 0.588 0.412 0.429
Sm1 0.199 0.801 0.489
Sm2 0.801 0.199 0.989
Tm1 0.112 0.888 0.215
Tm2 0.117 0.883 0.798
Tm3 0.883 0.117 0.298
Tm4 0.888 0.112 0.715
```

Top 12 peaks for 2θ = 10–90°, in order of falling intensity:
2theta  d_spacing  I_rel
31.5  2.840  100
31.2  2.868  41
29.8  2.998  39
55.7  1.650  22
27.2  3.275  18
60.3  1.536  14
57.8  1.595  13
50.2  1.818  12
33.5  2.677  11
41.9  2.158  11
46.4  1.957  9
32.3  2.773  9

[2]
Diffraction record for SrNd2Au3. The PXRD pattern is computed, not measured: it uses a structure optimized by DFT (PBE) and Cu Kα X-rays.
Lines closer than 0.1° are merged.

Structural model:
```
data_SrNd2Au3
_chemical_formula_sum 'Sr1 Nd2 Au3'
_cell_length_a 8.457
_cell_length_b 8.457
_cell_length_c 3.761
_cell_angle_alpha 90.00
_cell_angle_beta 90.00
_cell_angle_gamma 143.75
_symmetry_space_group_name_H-M 'P 1'
_symmetry_Int_Tables_number 1
loop_
_symmetry_equiv_pos_as_xyz
'x,y,z'
loop_
_atom_site_label
_atom_site_fract_x
_atom_site_fract_y
_atom_site_fract_z
Sr1 0.000 0.000 0.000
Nd1 0.337 0.663 0.000
Nd2 0.663 0.337 0.000
Au1 0.182 0.818 0.500
Au2 0.500 0.500 0.500
Au3 0.818 0.182 0.500
```

Top 12 peaks for 2θ = 10–90°, in order of falling intensity:
2theta  d_spacing  I_rel
33.7  2.657  100
48.5  1.878  26
34.1  2.631  25
33.4  2.679  23
60.8  1.524  19
60.0  1.542  15
70.9  1.328  11
60.5  1.530  10
60.1  1.539  9
80.8  1.189  8
23.7  3.757  8
81.0  1.187  7

[3]
Diffraction record for Na6Tl. The PXRD pattern is computed, not measured: it uses a structure optimized by DFT (PBE) and Cu Kα X-rays.
Lines closer than 0.1° are merged.

Structural model:
```
data_Na6Tl
_chemical_formula_sum 'Na6 Tl1'
_cell_length_a 8.837
_cell_length_b 8.837
_cell_length_c 8.837
_cell_angle_alpha 37.66
_cell_angle_beta 37.66
_cell_angle_gamma 37.66
_symmetry_space_group_name_H-M 'P 1'
_symmetry_Int_Tables_number 1
loop_
_symmetry_equiv_pos_as_xyz
'x,y,z'
loop_
_atom_site_label
_atom_site_fract_x
_atom_site_fract_y
_atom_site_fract_z
Na1 0.075 0.075 0.075
Na2 0.211 0.211 0.211
Na3 0.363 0.363 0.363
Na4 0.637 0.637 0.637
Na5 0.789 0.789 0.789
Na6 0.925 0.925 0.925
Tl1 0.500 0.500 0.500
```

Top 12 peaks for 2θ = 10–90°, in order of falling intensity:
2theta  d_spacing  I_rel
10.8  8.201  100
31.4  2.852  94
31.2  2.864  93
18.3  4.843  87
19.4  4.584  78
55.8  1.648  53
33.3  2.694  44
23.1  3.851  44
25.6  3.486  37
44.9  2.021  34
38.4  2.341  26
55.5  1.656  21

[4]
Diffraction record for LiBC2. The PXRD pattern is computed, not measured: it uses a structure optimized by DFT (PBE) and Cu Kα X-rays.
Lines closer than 0.1° are merged.

Structural model:
```
data_LiBC2
_chemical_formula_sum 'Li2 B2 C4'
_cell_length_a 5.784
_cell_length_b 5.784
_cell_length_c 5.784
_cell_angle_alpha 144.18
_cell_angle_beta 144.18
_cell_angle_gamma 51.56
_symmetry_space_group_name_H-M 'P 1'
_symmetry_Int_Tables_number 1
loop_
_symmetry_equiv_pos_as_xyz
'x,y,z'
loop_
_atom_site_label
_atom_site_fract_x
_atom_site_fract_y
_atom_site_fract_z
Li1 0.375 0.625 0.750
Li2 0.625 0.375 0.250
B1 0.125 0.875 0.250
B2 0.875 0.125 0.750
C1 0.000 0.000 0.000
C2 0.000 0.000 0.500
C3 0.000 0.500 0.000
C4 0.500 0.000 0.500
```

Top 12 peaks for 2θ = 10–90°, in order of falling intensity:
2theta  d_spacing  I_rel
26.5  3.366  100
39.8  2.265  25
54.5  1.683  18
36.2  2.485  15
85.8  1.132  12
64.4  1.446  6
63.3  1.469  5
51.4  1.778  5
76.7  1.242  5
58.7  1.573  5
65.3  1.429  5
72.6  1.302  5

[5]
Diffraction record for CrIn3Pd12. The PXRD pattern is computed, not measured: it uses a structure optimized by DFT (PBE) and Cu Kα X-rays.
Lines closer than 0.1° are merged.

Structural model:
```
data_CrIn3Pd12
_chemical_formula_sum 'Cr1 In3 Pd12'
_cell_length_a 3.997
_cell_length_b 3.997
_cell_length_c 16.070
_cell_angle_alpha 90.00
_cell_angle_beta 90.00
_cell_angle_gamma 90.00
_symmetry_space_group_name_H-M 'P 1'
_symmetry_Int_Tables_number 1
loop_
_symmetry_equiv_pos_as_xyz
'x,y,z'
loop_
_atom_site_label
_atom_site_fract_x
_atom_site_fract_y
_atom_site_fract_z
Cr1 0.000 0.000 0.000
In1 0.000 0.000 0.247
In2 0.000 0.000 0.500
In3 0.000 0.000 0.753
Pd1 0.000 0.500 0.117
Pd2 0.000 0.500 0.372
Pd3 0.000 0.500 0.628
Pd4 0.000 0.500 0.883
Pd5 0.500 0.000 0.117
Pd6 0.500 0.000 0.372
Pd7 0.500 0.000 0.628
Pd8 0.500 0.000 0.883
Pd9 0.500 0.500 0.000
Pd10 0.500 0.500 0.244
Pd11 0.500 0.500 0.500
Pd12 0.500 0.500 0.756
```

Top 12 peaks for 2θ = 10–90°, in order of falling intensity:
2theta  d_spacing  I_rel
39.0  2.312  100
45.4  1.999  33
79.5  1.206  24
65.9  1.417  20
45.1  2.009  16
79.1  1.210  11
66.1  1.413  10
83.7  1.156  10
35.9  2.501  1
72.9  1.298  1
61.5  1.508  1
39.2  2.296  1